Structure and simulated PXRD pattern of Mn8Cl3O10 (the GGA+U geometry in Alexandria; copper Kα).

Structural model:
```
data_Mn8Cl3O10
_cell_length_a 9.536
_cell_length_b 9.536
_cell_length_c 13.121
_cell_angle_alpha 90.00
_cell_angle_beta 90.00
_cell_angle_gamma 90.00
_symmetry_space_group_name_H-M 'I 4/m m m'
_symmetry_Int_Tables_number 139
_symmetry_space_group_name_Hall '-I 4 2'
loop_
_atom_site_label
_atom_site_fract_x
_atom_site_fract_y
_atom_site_fract_z
Mn1 0.000 0.000 0.000
Mn2 0.000 0.000 0.500
Mn3 0.000 0.350 0.000
Mn4 0.000 0.500 0.250
Mn5 0.175 0.175 0.176
Cl1 0.000 0.000 0.303
Cl2 0.197 0.197 0.500
O1 0.000 0.200 0.100
O2 0.000 0.500 0.098
O3 0.155 0.345 0.250
```

Principal peaks in the range 2θ = 15–90°, in order of falling intensity:
| index | d (Å) | I (rel.) |
| --- | --- | --- |
| 3 0 3 | 2.571 | 1000 |
| 3 3 6 | 1.567 | 405 |
| 2 2 0 | 3.372 | 320 |
| 2 1 1 | 4.056 | 286 |
| 6 0 0 | 1.589 | 277 |
| 6 3 3 | 1.352 | 183 |
| 0 0 4 | 3.280 | 153 |
| 1 0 3 | 3.976 | 133 |
| 3 3 0 | 2.248 | 133 |
| 3 1 2 | 2.740 | 117 |